Starting from a cell relaxed with GGA-PBE, the powder XRD pattern of Pr3Mg3AgHgPt was computed for λ = 1.5418 Å (Cu Kα).
Kinematic intensities with the Lorentz-polarization factor, no thermal factor.

Peak list (12 most intense, 10° ≤ 2θ ≤ 80°, by angle)
| 2θ/deg | I/Imax | hkl |
| --- | --- | --- |
| 12.84 | 34 | 1 0 0 |
| 22.33 | 53 | 1 1 0 |
| 25.15 | 19 | 1 0 1 |
| 31.21 | 92 | 1 1 1 |
| 33.88 | 100 | 2 0 1 |
| 34.41 | 24 | 2 1 0 |
| 39.19 | 39 | 3 0 0 |
| 40.95 | 35 | 1 2 1 |
| 43.87 | 22 | 0 0 2 |
| 60.27 | 22 | 3 0 2 |
| 62.91 | 26 | 3 2 1 |
| 78.68 | 18 | 1 4 2 |

```
Pr3Mg3AgHgPt
1.0
7.9628 0.0000 0.0000
-3.9814 6.8960 0.0000
0.0000 0.0000 4.1273
Pr Mg Ag Hg Pt
3 3 1 1 1
Direct
0.0948 0.7388 0.0000
0.2612 0.3560 0.0000
0.6440 0.9052 0.0000
0.4231 0.0890 0.5000
0.6659 0.5769 0.5000
0.9110 0.3341 0.5000
0.6667 0.3333 0.0000
0.0000 0.0000 0.5000
0.3333 0.6667 0.5000
```